Calculated X-ray powder pattern
Compound: TbNd2Ga2Ag2
Radiation: Cu Kα
Structure: a GGA-PBE-relaxed structure
Lines closer than 0.1° are merged.

Structural model:
abc: 4.6408 4.6408 27.5720
angles: 90.00 90.00 120.00
Space group R-3m (No. 166, hexagonal axes)
Symmetry-distinct sites (fractional):
Tb 0.0000 0.0000 0.0000 (multiplicity 3)
Nd 0.0000 0.0000 0.1249 (multiplicity 6)
Ga 0.0000 0.0000 0.2636 (multiplicity 6)
Ag 0.0000 0.0000 0.3927 (multiplicity 6)

The 10 most intense peaks (2θ from 10° to 80°), by angle:
22.35 deg, I 178, (1 0 1)
25.66 deg, I 168, (1 0 4)
31.81 deg, I 484, (1 0 7)
34.27 deg, I 1000, (0 1 8)
38.81 deg, I 965, (1 1 0)
51.02 deg, I 128, (0 2 7)
52.73 deg, I 289, (2 0 8)
64.69 deg, I 283, (1 1 15)
67.37 deg, I 273, (1 2 8)
70.26 deg, I 163, (3 0 0)


Calculated X-ray powder pattern
Compound: Cs4Ac3PtO8
Radiation: Cu Kα
Structure: a GGA-PBE-relaxed structure
Lines closer than 0.1° are merged.

Structural model:
abc: 13.9152 7.3324 7.9126
angles: 90.00 115.99 90.00
Space group C2/m (No. 12)
Symmetry-distinct sites (fractional):
Cs 0.0000 0.0000 0.0000 (multiplicity 2)
Cs 0.0000 0.5000 0.0000 (multiplicity 2)
Cs 0.2500 0.2500 0.0000 (multiplicity 4)
Ac 0.0000 0.0000 0.5000 (multiplicity 2)
Ac 0.2500 0.2500 0.5000 (multiplicity 4)
Pt 0.0000 0.5000 0.5000 (multiplicity 2)
O 0.0365 0.2954 0.3603 (multiplicity 8)
O 0.2019 0.0000 0.6733 (multiplicity 4)
O 0.2076 0.0000 0.2744 (multiplicity 4)

The 10 most intense peaks (2θ from 10° to 80°), by angle:
12.45 deg, I 280, (0 0 1)
25.04 deg, I 640, (0 0 2)
28.22 deg, I 934, (2 2 0)
28.56 deg, I 1000, (4 0 0)
33.48 deg, I 788, (2 2 -2)
42.24 deg, I 402, (2 2 2)
46.34 deg, I 281, (4 0 2)
46.80 deg, I 310, (6 2 -2)
50.36 deg, I 232, (6 2 0)
58.36 deg, I 275, (4 4 0)


Calculated X-ray powder pattern
Compound: Te2S4I
Radiation: Cu Kα
Structure: a GGA-PBE-relaxed structure
Lines closer than 0.1° are merged.

Structural model:
abc: 7.3758 7.7035 8.3883
angles: 64.92 69.83 87.53
Space group P-1 (No. 2)
Symmetry-distinct sites (fractional):
Te 0.0000 0.0000 0.0000 (multiplicity 1)
Te 0.0000 0.0000 0.5000 (multiplicity 1)
Te 0.0000 0.5000 0.0000 (multiplicity 1)
Te 0.5000 0.0000 0.5000 (multiplicity 1)
S 0.2008 0.1824 0.6133 (multiplicity 2)
S 0.2022 0.1957 0.1021 (multiplicity 2)
S 0.2263 0.7093 0.6114 (multiplicity 2)
S 0.2756 0.7507 0.9669 (multiplicity 2)
I 0.2933 0.6673 0.2794 (multiplicity 2)

The 10 most intense peaks (2θ from 10° to 80°), by angle:
12.85 deg, I 1000, (1 0 0)
21.01 deg, I 747, (1 0 -1)
21.50 deg, I 564, (0 1 -1)
25.87 deg, I 548, (1 2 1)
26.47 deg, I 584, (2 1 1)
27.04 deg, I 512, (0 2 2)
27.40 deg, I 768, (1 -2 0)
27.54 deg, I 588, (2 -1 0)
34.47 deg, I 686, (2 -2 0)
39.09 deg, I 771, (2 2 0)